[1]
# Li2V2S3O12
Calculated powder diffractogram, CuKα. Input: DFT lattice parameters and positions (PBE+U).
Peak positions follow from Bragg's law for the DFT cell and can differ from measured ones.

Crystal structure
Cell lengths 13.3884, 8.8091, 8.8535 Å; angles 90.00, 116.21, 90.00 degrees
Space group C2/c (No. 15)
Inequivalent atoms, fractional coordinates:
Li1 0.2276 0.0974 0.0477
V1 0.1218 0.2498 0.5155
S1 0.0000 0.0626 0.7500
S2 0.1473 0.3954 0.1796
O1 0.0280 0.3738 0.1194
O2 0.0563 0.1580 0.6755
O3 0.0876 0.0343 0.3825
O4 0.1782 0.4406 0.6920
O5 0.1910 0.3139 0.0759
O6 0.2060 0.3389 0.3620

Largest 6 diffraction maxima, sorted by position, 2θ = 5–70°:
- (1 1 -1), 2θ 14.39, I 50
- (0 2 1), 2θ 23.09, I 100
- (3 1 0), 2θ 24.42, I 68
- (3 1 -2), 2θ 25.68, I 86
- (0 2 2), 2θ 30.30, I 57
- (3 1 1), 2θ 30.83, I 47



[2]
# LiVS3O12
Calculated powder diffractogram, CuKα. Input: DFT lattice parameters and positions (PBE+U).
Peak positions follow from Bragg's law for the DFT cell and can differ from measured ones.

Crystal structure
Cell lengths 8.2169, 8.4289, 8.4435 Å; angles 108.71, 106.39, 107.87 degrees
Space group P1 (No. 1)
Inequivalent atoms, fractional coordinates:
Li1 0.0000 0.0000 0.0000
Li2 0.1234 0.3456 0.6759
V1 0.2610 0.8642 0.4420
V2 0.7377 0.3852 0.9399
S1 0.0003 0.4173 0.3273
S2 0.1509 0.6570 0.0041
S3 0.3394 0.1014 0.8820
S4 0.4610 0.3056 0.5326
S5 0.7156 0.9941 0.6923
S6 0.8155 0.7975 0.2174
O1 0.0333 0.8615 0.3116
O2 0.0705 0.7757 0.9595
O3 0.0872 0.3188 0.2345
O4 0.1399 0.6335 0.4262
O5 0.1896 0.1360 0.9208
O6 0.2456 0.5888 0.8974
O7 0.2602 0.9987 0.6653
O8 0.2795 0.7453 0.2082
O9 0.3334 0.3493 0.6079
O10 0.3865 0.0955 0.4262
O11 0.4190 0.0006 0.9602
O12 0.4895 0.2920 0.9289
O13 0.5030 0.8808 0.5653
O14 0.5223 0.3973 0.4307
O15 0.6454 0.3557 0.7033
O16 0.7225 0.1419 0.8649
O17 0.7282 0.7393 0.3261
O18 0.7543 0.6239 0.0353
O19 0.7793 0.8739 0.7546
O20 0.7926 0.9380 0.1645
O21 0.8151 0.0879 0.6091
O22 0.8247 0.4069 0.1947
O23 0.9631 0.3783 0.4713
O24 0.9887 0.4762 0.9717

Largest 6 diffraction maxima, sorted by position, 2θ = 5–70°:
- (0 1 -1), 2θ 12.92, I 93
- (1 -1 0), 2θ 13.17, I 78
- (1 0 -1), 2θ 13.28, I 100
- (1 0 -2), 2θ 22.34, I 53
- (2 -1 0), 2θ 22.60, I 51
- (-1 1 2), 2θ 28.17, I 74